The following is a computed powder X-ray diffraction pattern of CaCeO3. It was derived from DFT lattice parameters and positions (GGA-PBE), using Cu Kα (λ = 1.5418 Å).

Structure:
Lattice parameters (Å, degrees): 6.0622 8.5126 5.8407 90.00 90.00 90.00
Space group Pnma (No. 62)
One atom of each set of equivalent atoms:
Ca 0.0508 0.2500 0.0121
Ce 0.0000 0.0000 0.5000
O 0.0686 0.7500 0.3698
O 0.1891 0.5699 0.8121

Main lines, sorted by position (10 to 90 degrees two-theta):
(hkl), d (Å), 2θ (°), I (rel.)
0 2 0, 4.256, 20.87, 22
1 0 1, 4.206, 21.12, 46
2 0 0, 3.031, 29.47, 24
1 2 1, 2.992, 29.87, 100
0 0 2, 2.920, 30.61, 21
0 4 0, 2.128, 42.48, 13
2 0 2, 2.103, 43.01, 23
1 4 1, 1.899, 47.90, 12
2 2 2, 1.885, 48.27, 13
2 4 0, 1.742, 52.53, 33
1 2 3, 1.699, 53.95, 25
2 4 2, 1.496, 62.04, 13

The following is a computed powder X-ray diffraction pattern of CaCe2S4. It was derived from DFT lattice parameters and positions (GGA-PBE), using Cu Kα (λ = 1.5418 Å).

Structure:
Lattice parameters (Å, degrees): 8.5313 8.5313 8.6158 90.00 90.00 90.00
Space group I-42d (No. 122)
One atom of each set of equivalent atoms:
Ca 0.0000 0.0000 0.0000
Ce 0.1282 0.2500 0.6250
S 0.0741 0.1782 0.3037

Main lines, sorted by position (10 to 90 degrees two-theta):
(hkl), d (Å), 2θ (°), I (rel.)
1 0 1, 6.062, 14.61, 29
2 0 0, 4.266, 20.82, 16
1 1 2, 3.506, 25.41, 52
2 1 1, 3.489, 25.53, 67
1 0 3, 2.722, 32.91, 35
3 1 0, 2.699, 33.20, 100
2 1 3, 2.295, 39.26, 50
3 2 1, 2.283, 39.48, 50
4 0 2, 1.910, 47.60, 37
3 2 3, 1.826, 49.94, 24
3 1 4, 1.683, 54.51, 16
5 3 2, 1.386, 67.59, 20